Structure and calculated powder X-ray diffraction pattern of NpBe2NiO6 (a crystal structure in Alexandria, relaxed with PBE+U; a wavelength of 1.5418 Å).

Most intense lines, 2θ from 5° to 70°, sorted by position:
19.46°, rel. 1000
20.03°, rel. 330
21.23°, rel. 686
24.43°, rel. 532
28.07°, rel. 396
32.91°, rel. 282
35.79°, rel. 517
36.59°, rel. 240
37.88°, rel. 218
44.07°, rel. 329

Atomic structure:
```
20
Lattice="4.659 -4.432 0.000 4.659 4.432 0.000 -1.025 0.000 4.911" Properties=species:S:1:pos:R:3 pbc="T T T"
Np 3.890 2.518 3.683
Np 4.403 -2.518 1.228
Be 1.024 0.705 3.975
Be 1.536 -0.705 1.519
Be 6.757 0.705 3.392
Be 7.269 -0.705 0.936
Ni 4.403 0.774 1.228
Ni 3.890 -0.774 3.683
O 1.244 0.564 0.508
O 3.169 2.400 1.838
O 0.731 -0.564 2.964
O 2.636 0.836 4.254
O 5.637 2.400 0.617
O 3.149 -0.836 1.799
O 5.144 0.836 3.113
O 2.656 -2.400 4.294
O 5.657 -0.836 0.657
O 7.562 0.564 1.947
O 5.124 -2.400 3.073
O 7.049 -0.564 4.403
```